Record 1
Theoretical XRD peak list of Li4CoO3F for copper Kα, from a PBE+U-relaxed structure.
Intensities are scaled so that the largest is 100.

Atomic structure:
Unit cell a=5.250 b=5.417 c=7.817 alpha=71.11 beta=79.56 gamma=65.14
Sites, in units of the cell vectors:
Li1 0.000 0.000 0.000
Li2 0.007 0.326 0.568
Li3 0.463 0.771 0.554
Li4 0.471 0.269 0.407
Li5 0.489 0.527 0.999
Li6 0.519 0.970 0.210
Li7 0.944 0.611 0.786
Li8 0.979 0.876 0.433
Co1 0.539 0.224 0.730
Co2 0.968 0.378 0.199
O1 0.083 0.597 0.008
O2 0.210 0.111 0.389
O3 0.256 0.506 0.594
O4 0.677 0.944 0.625
O5 0.738 0.204 0.197
O6 0.767 0.332 0.806
F1 0.397 0.910 0.020
F2 0.770 0.629 0.375

Peak list (10 most intense, 2θ from 5° to 70°, low angle first)
| two_theta | d_spacing | intensity |
| --- | --- | --- |
| 18.79 | 4.723 | 100 |
| 20.61 | 4.309 | 86 |
| 21.68 | 4.098 | 86 |
| 22.76 | 3.907 | 71 |
| 24.10 | 3.693 | 41 |
| 26.19 | 3.403 | 84 |
| 26.99 | 3.303 | 93 |
| 31.45 | 2.844 | 51 |
| 39.17 | 2.300 | 48 |
| 42.19 | 2.142 | 39 |

***

Record 2
Theoretical XRD peak list of Li3Co3OF7 for copper Kα, from a PBE+U-relaxed structure.
Intensities are scaled so that the largest is 100.

Atomic structure:
Unit cell a=6.068 b=6.068 c=6.068 alpha=60.03 beta=60.03 gamma=60.03
Sites, in units of the cell vectors:
Li1 0.000 0.000 0.000
Li2 0.257 0.257 0.257
Li3 0.631 0.631 0.631
Co1 0.119 0.644 0.644
Co2 0.644 0.119 0.644
Co3 0.644 0.644 0.119
O1 0.871 0.871 0.871
F1 0.389 0.389 0.860
F2 0.389 0.860 0.389
F3 0.393 0.393 0.393
F4 0.399 0.871 0.871
F5 0.860 0.389 0.389
F6 0.871 0.399 0.871
F7 0.871 0.871 0.399

Peak list (10 most intense, 2θ from 5° to 70°, low angle first)
| two_theta | d_spacing | intensity |
| --- | --- | --- |
| 17.90 | 4.954 | 100 |
| 20.70 | 4.292 | 13 |
| 29.44 | 3.034 | 13 |
| 34.66 | 2.588 | 55 |
| 42.11 | 2.146 | 68 |
| 46.10 | 1.969 | 16 |
| 52.21 | 1.752 | 6 |
| 55.65 | 1.652 | 23 |
| 61.07 | 1.517 | 41 |
| 64.19 | 1.451 | 15 |

***

Record 3
Theoretical XRD peak list of Li4Co3OF8 for copper Kα, from a PBE+U-relaxed structure.
Intensities are scaled so that the largest is 100.

Atomic structure:
Unit cell a=5.101 b=5.101 c=11.531 alpha=101.33 beta=101.33 gamma=32.63
Sites, in units of the cell vectors:
Li1 0.000 0.000 0.000
Li2 0.102 0.102 0.313
Li3 0.219 0.219 0.877
Li4 0.383 0.383 0.427
Co1 0.465 0.465 0.749
Co2 0.653 0.653 0.603
Co3 0.803 0.803 0.170
O1 0.091 0.091 0.706
F1 0.043 0.043 0.470
F2 0.147 0.147 0.147
F3 0.312 0.312 0.585
F4 0.359 0.359 0.040
F5 0.445 0.445 0.263
F6 0.594 0.594 0.923
F7 0.749 0.749 0.348
F8 0.849 0.849 0.823

Peak list (10 most intense, 2θ from 5° to 70°, low angle first)
| two_theta | d_spacing | intensity |
| --- | --- | --- |
| 7.83 | 11.287 | 43 |
| 15.70 | 5.643 | 100 |
| 21.58 | 4.118 | 73 |
| 21.74 | 4.089 | 50 |
| 33.14 | 2.703 | 43 |
| 33.39 | 2.683 | 24 |
| 40.28 | 2.239 | 38 |
| 43.24 | 2.092 | 48 |
| 44.28 | 2.046 | 24 |
| 45.95 | 1.975 | 43 |

***

Record 4
Theoretical XRD peak list of Li3Co2OF5 for copper Kα, from a PBE+U-relaxed structure.
Intensities are scaled so that the largest is 100.

Atomic structure:
Unit cell a=5.156 b=5.156 c=9.833 alpha=110.39 beta=110.39 gamma=70.75
Sites, in units of the cell vectors:
Li1 0.000 0.000 0.000
Li2 0.081 0.580 0.162
Li3 0.322 0.324 0.647
Li4 0.420 0.919 0.838
Li5 0.676 0.678 0.353
Li6 0.749 0.251 0.500
Co1 0.249 0.751 0.500
Co2 0.500 0.500 0.000
Co3 0.577 0.078 0.155
Co4 0.922 0.423 0.845
O1 0.257 0.257 0.000
O2 0.743 0.743 0.000
F1 0.012 0.514 0.500
F2 0.090 0.109 0.662
F3 0.171 0.664 0.833
F4 0.336 0.829 0.167
F5 0.445 0.430 0.338
F6 0.486 0.988 0.500
F7 0.570 0.555 0.662
F8 0.661 0.169 0.833
F9 0.831 0.339 0.167
F10 0.891 0.910 0.338

Peak list (10 most intense, 2θ from 5° to 70°, low angle first)
| two_theta | d_spacing | intensity |
| --- | --- | --- |
| 9.95 | 8.890 | 20 |
| 18.90 | 4.695 | 23 |
| 21.13 | 4.204 | 13 |
| 23.65 | 3.762 | 88 |
| 38.60 | 2.332 | 24 |
| 43.02 | 2.103 | 100 |
| 49.52 | 1.841 | 11 |
| 49.81 | 1.831 | 10 |
| 62.20 | 1.492 | 9 |
| 62.47 | 1.487 | 35 |

***

Record 5
Theoretical XRD peak list of Li6Co2OF11 for copper Kα, from a PBE+U-relaxed structure.
Intensities are scaled so that the largest is 100.

Atomic structure:
Unit cell a=5.113 b=5.472 c=8.703 alpha=72.90 beta=89.77 gamma=62.27
Sites, in units of the cell vectors:
Li1 0.000 0.000 0.000
Li2 0.067 0.831 0.356
Li3 0.219 0.527 0.730
Li4 0.311 0.372 0.085
Li5 0.448 0.994 0.489
Li6 0.769 0.380 0.596
Co1 0.527 0.904 0.845
Co2 0.751 0.462 0.238
O1 0.786 0.669 0.052
F1 0.176 0.210 0.279
F2 0.232 0.186 0.647
F3 0.247 0.180 0.945
F4 0.298 0.700 0.888
F5 0.323 0.670 0.198
F6 0.344 0.684 0.543
F7 0.706 0.156 0.806
F8 0.737 0.195 0.431
F9 0.743 0.182 0.142
F10 0.778 0.707 0.713
F11 0.795 0.664 0.373

Peak list (10 most intense, 2θ from 5° to 70°, low angle first)
| two_theta | d_spacing | intensity |
| --- | --- | --- |
| 10.77 | 8.215 | 34 |
| 18.84 | 4.710 | 82 |
| 19.90 | 4.463 | 89 |
| 21.07 | 4.217 | 100 |
| 21.64 | 4.108 | 43 |
| 25.23 | 3.530 | 40 |
| 40.35 | 2.235 | 78 |
| 40.49 | 2.228 | 27 |
| 41.47 | 2.178 | 26 |
| 53.32 | 1.718 | 39 |

***

Record 6
Theoretical XRD peak list of Li5Co5O9F for copper Kα, from a PBE+U-relaxed structure.
Intensities are scaled so that the largest is 100.

Atomic structure:
Unit cell a=4.988 b=5.038 c=7.668 alpha=71.71 beta=71.75 gamma=80.33
Sites, in units of the cell vectors:
Li1 0.000 0.000 0.000
Li2 0.181 0.986 0.618
Li3 0.390 0.986 0.202
Li4 0.599 0.998 0.804
Li5 0.804 0.983 0.418
Co1 0.083 0.502 0.308
Co2 0.299 0.494 0.905
Co3 0.491 0.496 0.517
Co4 0.702 0.504 0.099
Co5 0.897 0.494 0.709
O1 0.043 0.270 0.140
O2 0.145 0.712 0.476
O3 0.246 0.280 0.751
O4 0.362 0.713 0.056
O5 0.548 0.706 0.668
O6 0.650 0.280 0.949
O7 0.710 0.714 0.269
O8 0.827 0.269 0.564
O9 0.966 0.722 0.852
F1 0.448 0.220 0.379

Peak list (10 most intense, 2θ from 5° to 70°, low angle first)
| two_theta | d_spacing | intensity |
| --- | --- | --- |
| 18.60 | 4.769 | 100 |
| 35.96 | 2.498 | 15 |
| 36.57 | 2.457 | 27 |
| 43.48 | 2.081 | 25 |
| 44.41 | 2.040 | 48 |
| 58.59 | 1.576 | 9 |
| 63.68 | 1.461 | 6 |
| 63.88 | 1.457 | 13 |
| 64.15 | 1.452 | 7 |
| 64.94 | 1.436 | 6 |